# KCr12Si8BrO28
Simulated powder diffraction line list, a wavelength of 1.5418 Å. Input: a crystal structure in Alexandria, relaxed with PBE+U.
Intensities are scaled so that the largest is 100.

Crystal structure
Cell lengths 9.9895, 9.9895, 9.9895 Å; angles 115.91, 115.91, 97.24 degrees
Sites, in units of the cell vectors:
K 0.0000 0.0000 0.0000
Cr 0.0831 0.3133 0.7698
Cr 0.2230 0.5359 0.6871
Cr 0.3133 0.0831 0.7698
Cr 0.3133 0.5435 0.2302
Cr 0.5275 0.7552 0.7723
Cr 0.5359 0.2230 0.6871
Cr 0.5359 0.8487 0.3129
Cr 0.5435 0.3133 0.2302
Cr 0.7552 0.5275 0.7723
Cr 0.7552 0.9829 0.2277
Cr 0.8487 0.5359 0.3129
Cr 0.9829 0.7552 0.2277
Si 0.1473 0.1473 0.4486
Si 0.1473 0.6987 0.0000
Si 0.3711 0.3711 0.4465
Si 0.3711 0.9246 0.0000
Si 0.6987 0.1473 0.0000
Si 0.6987 0.6987 0.5514
Si 0.9246 0.3711 0.0000
Si 0.9246 0.9246 0.5535
Br 0.5723 0.5723 0.0000
O 0.0894 0.0894 0.7094
O 0.0894 0.3800 0.0000
O 0.1097 0.2918 0.5696
O 0.1097 0.5401 0.8179
O 0.2098 0.2098 0.3494
O 0.2098 0.8604 0.0000
O 0.2918 0.1097 0.5696
O 0.2918 0.7222 0.1821
O 0.3469 0.5299 0.5666
O 0.3469 0.7804 0.8170
O 0.3800 0.0894 0.0000
O 0.3800 0.3800 0.2906
O 0.5299 0.3469 0.5666
O 0.5299 0.9633 0.1830
O 0.5401 0.1097 0.8179
O 0.5401 0.7222 0.4304
O 0.6927 0.6927 0.7105
O 0.6927 0.9823 0.0000
O 0.7222 0.2918 0.1821
O 0.7222 0.5401 0.4304
O 0.7804 0.3469 0.8170
O 0.7804 0.9633 0.4334
O 0.8604 0.2098 0.0000
O 0.8604 0.8604 0.6506
O 0.9633 0.5299 0.1830
O 0.9633 0.7804 0.4334
O 0.9823 0.6927 0.0000
O 0.9823 0.9823 0.2895

Largest 10 diffraction maxima, low angle first, 2θ = 10–90°:
d [Å]	I/Imax
8.267	33
5.300	41
3.413	100
3.259	59
2.989	39
2.802	34
2.650	33
2.477	54
2.337	28
1.653	29